PrEuHfFeO6: computed powder diffractogram (copper Kα), based on the PBE+U geometry in Alexandria.
Lines closer than 0.1° are merged.

Cell lengths 5.6087, 5.6087, 5.6087 Å; angles 60.00, 60.00, 60.00 degrees
Element x y z (fractional)
Pr 0.0000 0.0000 0.0000
Eu 0.5000 0.5000 0.5000
Hf 0.7500 0.7500 0.7500
Fe 0.2500 0.2500 0.2500
O 0.0064 0.0064 0.4936
O 0.0064 0.4936 0.0064
O 0.0064 0.4936 0.4936
O 0.4936 0.0064 0.0064
O 0.4936 0.0064 0.4936
O 0.4936 0.4936 0.0064

Largest 10 diffraction maxima, low angle first, 10 to 90 degrees two-theta:
19.4 deg, intensity 11
31.9 deg, intensity 100
37.6 deg, intensity 7
39.4 deg, intensity 4
45.8 deg, intensity 29
50.1 deg, intensity 4
56.9 deg, intensity 39
66.7 deg, intensity 18
75.9 deg, intensity 17
84.7 deg, intensity 6


KSrEuFeO6: computed powder diffractogram (copper Kα), based on the PBE+U geometry in Alexandria.
Lines closer than 0.1° are merged.

Cell lengths 5.8624, 5.8624, 5.8624 Å; angles 60.00, 60.00, 60.00 degrees
Element x y z (fractional)
K 0.0000 0.0000 0.0000
Sr 0.5000 0.5000 0.5000
Eu 0.2500 0.2500 0.2500
Fe 0.7500 0.7500 0.7500
O 0.5183 0.5183 0.9817
O 0.5183 0.9817 0.5183
O 0.5183 0.9817 0.9817
O 0.9817 0.5183 0.5183
O 0.9817 0.5183 0.9817
O 0.9817 0.9817 0.5183

Largest 10 diffraction maxima, low angle first, 10 to 90 degrees two-theta:
18.5 deg, intensity 19
21.4 deg, intensity 18
30.5 deg, intensity 100
35.9 deg, intensity 16
43.7 deg, intensity 36
47.8 deg, intensity 9
54.2 deg, intensity 38
63.5 deg, intensity 21
72.0 deg, intensity 17
88.2 deg, intensity 21


PrEuNbFeO6: computed powder diffractogram (copper Kα), based on the PBE+U geometry in Alexandria.
Lines closer than 0.1° are merged.

Cell lengths 5.6080, 5.6080, 5.6080 Å; angles 60.00, 60.00, 60.00 degrees
Element x y z (fractional)
Pr 0.0000 0.0000 0.0000
Eu 0.5000 0.5000 0.5000
Nb 0.7500 0.7500 0.7500
Fe 0.2500 0.2500 0.2500
O 0.0011 0.0011 0.4989
O 0.0011 0.4989 0.0011
O 0.0011 0.4989 0.4989
O 0.4989 0.0011 0.0011
O 0.4989 0.0011 0.4989
O 0.4989 0.4989 0.0011

Largest 10 diffraction maxima, low angle first, 10 to 90 degrees two-theta:
22.4 deg, intensity 7
31.9 deg, intensity 100
39.4 deg, intensity 12
45.8 deg, intensity 31
51.5 deg, intensity 4
56.9 deg, intensity 39
66.7 deg, intensity 18
75.9 deg, intensity 17
80.3 deg, intensity 4
84.7 deg, intensity 6


NdEuFe4O12: computed powder diffractogram (copper Kα), based on the PBE+U geometry in Alexandria.
Lines closer than 0.1° are merged.

Cell lengths 5.3886, 5.3886, 7.6532 Å; angles 90.00, 90.00, 90.00 degrees
Element x y z (fractional)
Nd 0.0000 0.0000 0.0000
Eu 0.5000 0.5000 0.5000
Fe 0.0000 0.5000 0.2506
Fe 0.0000 0.5000 0.7494
Fe 0.5000 0.0000 0.2506
Fe 0.5000 0.0000 0.7494
O 0.0000 0.5000 0.0000
O 0.0000 0.5000 0.5000
O 0.2478 0.2478 0.2466
O 0.2478 0.2478 0.7534
O 0.2478 0.7522 0.2466
O 0.2478 0.7522 0.7534
O 0.5000 0.0000 0.0000
O 0.5000 0.0000 0.5000
O 0.7522 0.2478 0.2466
O 0.7522 0.2478 0.7534
O 0.7522 0.7522 0.2466
O 0.7522 0.7522 0.7534

Largest 10 diffraction maxima, low angle first, 10 to 90 degrees two-theta:
20.2 deg, intensity 93
33.2 deg, intensity 100
39.1 deg, intensity 17
39.2 deg, intensity 34
47.5 deg, intensity 14
47.7 deg, intensity 27
52.2 deg, intensity 15
59.2 deg, intensity 13
59.4 deg, intensity 25
69.6 deg, intensity 16


Eu2FeSbO7: computed powder diffractogram (copper Kα), based on the PBE+U geometry in Alexandria.
Lines closer than 0.1° are merged.

Cell lengths 7.4014, 7.4014, 7.4014 Å; angles 120.51, 119.48, 90.01 degrees
Element x y z (fractional)
Eu 0.0000 0.0000 0.0000
Eu 0.5000 0.0000 0.0000
Eu 0.5000 0.0000 0.5000
Eu 0.5000 0.5000 0.5000
Fe 0.0000 0.0000 0.5000
Fe 0.0000 0.5000 0.0000
Sb 0.0000 0.5000 0.5000
Sb 0.5000 0.5000 0.0000
O 0.0795 0.8295 0.2500
O 0.0811 0.4235 0.2548
O 0.0811 0.8263 0.6576
O 0.3274 0.5774 0.7500
O 0.3313 0.1737 0.7548
O 0.3313 0.5765 0.1576
O 0.3751 0.1251 0.2500
O 0.6249 0.8749 0.7500
O 0.6687 0.4235 0.8424
O 0.6687 0.8263 0.2452
O 0.6726 0.4226 0.2500
O 0.9189 0.1737 0.3424
O 0.9189 0.5765 0.7452
O 0.9205 0.1705 0.7500

Largest 10 diffraction maxima, low angle first, 10 to 90 degrees two-theta:
14.6 deg, intensity 15
29.4 deg, intensity 100
29.7 deg, intensity 98
34.3 deg, intensity 64
48.8 deg, intensity 16
49.2 deg, intensity 61
49.7 deg, intensity 15
58.2 deg, intensity 28
58.8 deg, intensity 28
82.4 deg, intensity 19


SrEuZrFeO6: computed powder diffractogram (copper Kα), based on the PBE+U geometry in Alexandria.
Lines closer than 0.1° are merged.

Cell lengths 5.6292, 5.6292, 5.6292 Å; angles 60.00, 60.00, 60.00 degrees
Element x y z (fractional)
Sr 0.0000 0.0000 0.0000
Eu 0.5000 0.5000 0.5000
Zr 0.7500 0.7500 0.7500
Fe 0.2500 0.2500 0.2500
O 0.0113 0.0113 0.4887
O 0.0113 0.4887 0.0113
O 0.0113 0.4887 0.4887
O 0.4887 0.0113 0.0113
O 0.4887 0.0113 0.4887
O 0.4887 0.4887 0.0113

Largest 10 diffraction maxima, low angle first, 10 to 90 degrees two-theta:
19.3 deg, intensity 8
31.8 deg, intensity 100
37.5 deg, intensity 5
39.2 deg, intensity 10
45.6 deg, intensity 33
56.6 deg, intensity 38
66.4 deg, intensity 19
75.5 deg, intensity 17
79.9 deg, intensity 3
84.3 deg, intensity 6